Record 1
Simulated powder diffractogram of PmDyNiRu for a wavelength of 1.5418 Å, from a GGA-PBE-relaxed structure.
Intensities are scaled so that the largest is 100.

Principal peaks in the range 2θ = 10–90°, by angle:
| 2θ/deg | I/Imax |
| --- | --- |
| 27.7 | 22 |
| 32.6 | 100 |
| 33.7 | 69 |
| 40.6 | 72 |
| 44.9 | 23 |
| 45.3 | 23 |
| 56.6 | 11 |
| 57.3 | 30 |
| 62.4 | 14 |
| 65.6 | 29 |
| 79.8 | 10 |
| 83.0 | 15 |

Structure:
```
data_PmDyNiRu
_chemical_formula_sum 'Pm2 Dy2 Ni2 Ru2'
_cell_length_a 4.0402
_cell_length_b 4.0054
_cell_length_c 10.6614
_cell_angle_alpha 90.00
_cell_angle_beta 90.00
_cell_angle_gamma 90.00
_symmetry_space_group_name_H-M 'A m m 2'
_symmetry_Int_Tables_number 38
loop_
_symmetry_equiv_pos_as_xyz
'x,y,z'
'-x,-y,z'
'-x,y,z'
'x,-y,z'
'x,y+1/2,z+1/2'
'-x,-y+1/2,z+1/2'
'-x,y+1/2,z+1/2'
'x,-y+1/2,z+1/2'
loop_
_atom_site_label
_atom_site_type_symbol
_atom_site_fract_x
_atom_site_fract_y
_atom_site_fract_z
Pm1 Pm 0.0000 0.0000 0.0000
Dy1 Dy 0.5000 0.0000 0.2863
Ni1 Ni 0.5000 0.0000 0.5780
Ru1 Ru 0.0000 0.0000 0.7168
```

=====

Record 2
Simulated powder diffractogram of PmDySi2Ni2 for a wavelength of 1.5418 Å, from a GGA-PBE-relaxed structure.
Intensities are scaled so that the largest is 100.

Principal peaks in the range 2θ = 10–90°, by angle:
| 2θ/deg | I/Imax |
| --- | --- |
| 21.7 | 4 |
| 25.8 | 28 |
| 34.0 | 100 |
| 44.3 | 12 |
| 45.5 | 33 |
| 52.0 | 9 |
| 58.0 | 21 |
| 65.4 | 22 |
| 74.9 | 10 |
| 76.6 | 19 |
| 84.1 | 5 |
| 89.0 | 4 |

Structure:
```
data_PmDySi2Ni2
_chemical_formula_sum 'Pm1 Dy1 Si2 Ni2'
_cell_length_a 3.9880
_cell_length_b 3.9880
_cell_length_c 8.1794
_cell_angle_alpha 90.00
_cell_angle_beta 90.00
_cell_angle_gamma 120.00
_symmetry_space_group_name_H-M 'P -3 m 1'
_symmetry_Int_Tables_number 164
_symmetry_space_group_name_Hall '-P 3 2"'
loop_
_atom_site_label
_atom_site_type_symbol
_atom_site_fract_x
_atom_site_fract_y
_atom_site_fract_z
Pm1 Pm 0.0000 0.0000 0.0000
Dy1 Dy 0.0000 0.0000 0.5000
Si1 Si 0.3333 0.6667 0.2561
Ni1 Ni 0.3333 0.6667 0.7405
```

=====

Record 3
Simulated powder diffractogram of Pr2DyNi for a wavelength of 1.5418 Å, from a GGA-PBE-relaxed structure.
Intensities are scaled so that the largest is 100.

Principal peaks in the range 2θ = 10–90°, by angle:
| 2θ/deg | I/Imax |
| --- | --- |
| 27.2 | 38 |
| 29.8 | 25 |
| 32.3 | 100 |
| 36.0 | 30 |
| 36.2 | 29 |
| 39.5 | 16 |
| 47.4 | 14 |
| 48.0 | 11 |
| 52.0 | 21 |
| 57.6 | 15 |
| 62.4 | 15 |
| 62.7 | 15 |

Structure:
```
data_Pr2DyNi
_chemical_formula_sum 'Pr4 Dy2 Ni2'
_cell_length_a 4.9613
_cell_length_b 4.9935
_cell_length_c 8.9856
_cell_angle_alpha 90.00
_cell_angle_beta 90.14
_cell_angle_gamma 90.00
_symmetry_space_group_name_H-M 'C 1 m 1'
_symmetry_Int_Tables_number 8
loop_
_symmetry_equiv_pos_as_xyz
'x,y,z'
'x,-y,z'
'x+1/2,y+1/2,z'
'x+1/2,-y+1/2,z'
loop_
_atom_site_label
_atom_site_type_symbol
_atom_site_fract_x
_atom_site_fract_y
_atom_site_fract_z
Pr1 Pr 0.0000 0.0000 0.0000
Pr2 Pr 0.0006 0.5000 0.3236
Dy1 Dy 0.4991 0.0000 0.6891
Ni1 Ni 0.4991 0.5000 0.5252
```

=====

Record 4
Simulated powder diffractogram of PrDy6Ni2 for a wavelength of 1.5418 Å, from a GGA-PBE-relaxed structure.
Intensities are scaled so that the largest is 100.

Principal peaks in the range 2θ = 10–90°, by angle:
| 2θ/deg | I/Imax |
| --- | --- |
| 27.4 | 13 |
| 30.5 | 24 |
| 31.5 | 100 |
| 32.9 | 42 |
| 33.9 | 44 |
| 34.9 | 17 |
| 35.1 | 16 |
| 35.3 | 21 |
| 39.3 | 18 |
| 53.7 | 22 |
| 57.0 | 19 |
| 60.0 | 19 |

Structure:
```
data_PrDy6Ni2
_chemical_formula_sum 'Pr4 Dy24 Ni8'
_cell_length_a 9.1632
_cell_length_b 10.2359
_cell_length_c 10.2860
_cell_angle_alpha 90.00
_cell_angle_beta 90.00
_cell_angle_gamma 90.00
_symmetry_space_group_name_H-M 'I m m m'
_symmetry_Int_Tables_number 71
_symmetry_space_group_name_Hall '-I 2 2'
loop_
_atom_site_label
_atom_site_type_symbol
_atom_site_fract_x
_atom_site_fract_y
_atom_site_fract_z
Pr1 Pr 0.0000 0.0000 0.0000
Pr2 Pr 0.0000 0.5000 0.0000
Dy1 Dy 0.0000 0.2220 0.2212
Dy2 Dy 0.1946 0.1886 0.5000
Dy3 Dy 0.1950 0.5000 0.3083
Ni1 Ni 0.0000 0.0000 0.3723
Ni2 Ni 0.0000 0.3807 0.5000
```

=====

Record 5
Simulated powder diffractogram of Dy3Ni2Pt for a wavelength of 1.5418 Å, from a GGA-PBE-relaxed structure.
Intensities are scaled so that the largest is 100.

Principal peaks in the range 2θ = 10–90°, by angle:
| 2θ/deg | I/Imax |
| --- | --- |
| 11.0 | 18 |
| 17.5 | 20 |
| 28.3 | 24 |
| 31.5 | 45 |
| 32.2 | 21 |
| 32.6 | 100 |
| 36.2 | 83 |
| 39.5 | 35 |
| 40.1 | 15 |
| 42.1 | 38 |
| 45.4 | 41 |
| 46.6 | 22 |

Structure:
```
data_Dy3Ni2Pt
_chemical_formula_sum 'Dy12 Ni8 Pt4'
_cell_length_a 11.4736
_cell_length_b 3.9982
_cell_length_c 11.3340
_cell_angle_alpha 90.00
_cell_angle_beta 90.00
_cell_angle_gamma 90.00
_symmetry_space_group_name_H-M 'P n m a'
_symmetry_Int_Tables_number 62
loop_
_symmetry_equiv_pos_as_xyz
'x,y,z'
'-x,-y,-z'
'-x+1/2,-y,z+1/2'
'x+1/2,y,-z+1/2'
'x+1/2,-y+1/2,-z+1/2'
'-x+1/2,y+1/2,z+1/2'
'-x,y+1/2,-z'
'x,-y+1/2,z'
loop_
_atom_site_label
_atom_site_type_symbol
_atom_site_fract_x
_atom_site_fract_y
_atom_site_fract_z
Dy1 Dy 0.0549 0.2500 0.1216
Dy2 Dy 0.1222 0.7500 0.5635
Dy3 Dy 0.2050 0.2500 0.8162
Ni1 Ni 0.0064 0.7500 0.3017
Ni2 Ni 0.1812 0.7500 0.9969
Pt1 Pt 0.1239 0.2500 0.3745
```

=====

Record 6
Simulated powder diffractogram of Dy2Ni5Pt5 for a wavelength of 1.5418 Å, from a GGA-PBE-relaxed structure.
Intensities are scaled so that the largest is 100.

Principal peaks in the range 2θ = 10–90°, by angle:
| 2θ/deg | I/Imax |
| --- | --- |
| 20.2 | 15 |
| 20.8 | 25 |
| 34.8 | 29 |
| 35.6 | 24 |
| 40.9 | 100 |
| 41.6 | 32 |
| 42.4 | 33 |
| 46.5 | 15 |
| 56.0 | 15 |
| 67.6 | 23 |
| 76.6 | 16 |
| 88.7 | 15 |

Structure:
```
data_Dy2Ni5Pt5
_chemical_formula_sum 'Dy2 Ni5 Pt5'
_cell_length_a 4.2606
_cell_length_b 5.0391
_cell_length_c 8.9997
_cell_angle_alpha 90.00
_cell_angle_beta 90.00
_cell_angle_gamma 90.00
_symmetry_space_group_name_H-M 'P m m m'
_symmetry_Int_Tables_number 47
loop_
_symmetry_equiv_pos_as_xyz
'x,y,z'
'-x,-y,-z'
'-x,-y,z'
'x,y,-z'
'x,-y,-z'
'-x,y,z'
'-x,y,-z'
'x,-y,z'
loop_
_atom_site_label
_atom_site_type_symbol
_atom_site_fract_x
_atom_site_fract_y
_atom_site_fract_z
Dy1 Dy 0.0000 0.0000 0.0000
Dy2 Dy 0.0000 0.5000 0.5000
Ni1 Ni 0.5000 0.0000 0.5000
Ni2 Ni 0.5000 0.2487 0.2576
Pt1 Pt 0.0000 0.0000 0.3352
Pt2 Pt 0.0000 0.5000 0.1795
Pt3 Pt 0.5000 0.5000 0.0000
```

=====

Record 7
Simulated powder diffractogram of DyNi3Rh for a wavelength of 1.5418 Å, from a GGA-PBE-relaxed structure.
Intensities are scaled so that the largest is 100.

Principal peaks in the range 2θ = 10–90°, by angle:
| 2θ/deg | I/Imax |
| --- | --- |
| 29.0 | 70 |
| 32.8 | 100 |
| 33.4 | 33 |
| 38.6 | 19 |
| 41.1 | 33 |
| 41.7 | 29 |
| 43.0 | 40 |
| 45.4 | 23 |
| 48.6 | 39 |
| 50.3 | 35 |
| 63.4 | 39 |
| 73.9 | 18 |

Structure:
```
data_DyNi3Rh
_chemical_formula_sum 'Dy4 Ni12 Rh4'
_cell_length_a 4.5550
_cell_length_b 16.6134
_cell_length_c 4.3305
_cell_angle_alpha 90.00
_cell_angle_beta 90.00
_cell_angle_gamma 90.00
_symmetry_space_group_name_H-M 'C m c m'
_symmetry_Int_Tables_number 63
_symmetry_space_group_name_Hall '-C 2c 2'
loop_
_atom_site_label
_atom_site_type_symbol
_atom_site_fract_x
_atom_site_fract_y
_atom_site_fract_z
Dy1 Dy 0.0000 0.0871 0.2500
Ni1 Ni 0.0000 0.5000 0.0000
Ni2 Ni 0.2401 0.2738 0.7500
Rh1 Rh 0.0000 0.3612 0.2500
```

=====

Record 8
Simulated powder diffractogram of Dy4Ni2Rh for a wavelength of 1.5418 Å, from a GGA-PBE-relaxed structure.
Intensities are scaled so that the largest is 100.

Principal peaks in the range 2θ = 10–90°, by angle:
| 2θ/deg | I/Imax |
| --- | --- |
| 20.4 | 18 |
| 29.0 | 100 |
| 32.4 | 73 |
| 32.6 | 47 |
| 38.7 | 25 |
| 38.7 | 43 |
| 41.6 | 30 |
| 49.1 | 46 |
| 53.6 | 28 |
| 53.7 | 12 |
| 62.2 | 17 |
| 77.5 | 24 |

Structure:
```
data_Dy4Ni2Rh
_chemical_formula_sum 'Dy16 Ni8 Rh4'
_cell_length_a 8.6896
_cell_length_b 8.6930
_cell_length_c 8.7449
_cell_angle_alpha 90.00
_cell_angle_beta 90.00
_cell_angle_gamma 90.00
_symmetry_space_group_name_H-M 'I m m a'
_symmetry_Int_Tables_number 74
_symmetry_space_group_name_Hall '-I 2b 2'
loop_
_atom_site_label
_atom_site_type_symbol
_atom_site_fract_x
_atom_site_fract_y
_atom_site_fract_z
Dy1 Dy 0.0000 0.0565 0.1971
Dy2 Dy 0.1935 0.2500 0.5529
Ni1 Ni 0.0000 0.0000 0.5000
Ni2 Ni 0.2500 0.2500 0.2500
Rh1 Rh 0.0000 0.2500 0.8745
```

=====

Record 9
Simulated powder diffractogram of Dy3Si6Ni2Rh for a wavelength of 1.5418 Å, from a GGA-PBE-relaxed structure.
Intensities are scaled so that the largest is 100.

Principal peaks in the range 2θ = 10–90°, by angle:
| 2θ/deg | I/Imax |
| --- | --- |
| 21.4 | 22 |
| 29.4 | 71 |
| 31.5 | 100 |
| 38.4 | 26 |
| 39.4 | 47 |
| 43.7 | 41 |
| 47.7 | 14 |
| 50.9 | 22 |
| 54.9 | 23 |
| 56.1 | 18 |
| 65.8 | 19 |
| 70.4 | 19 |

Structure:
```
data_Dy3Si6Ni2Rh
_chemical_formula_sum 'Dy3 Si6 Ni2 Rh1'
_cell_length_a 5.6756
_cell_length_b 5.6756
_cell_length_c 7.7113
_cell_angle_alpha 90.00
_cell_angle_beta 90.00
_cell_angle_gamma 120.00
_symmetry_space_group_name_H-M 'P -3 m 1'
_symmetry_Int_Tables_number 164
_symmetry_space_group_name_Hall '-P 3 2"'
loop_
_atom_site_label
_atom_site_type_symbol
_atom_site_fract_x
_atom_site_fract_y
_atom_site_fract_z
Dy1 Dy 0.0000 0.0000 0.0000
Dy2 Dy 0.3333 0.6667 0.6200
Si1 Si 0.1906 0.3812 0.2851
Ni1 Ni 0.3333 0.6667 0.0431
Rh1 Rh 0.0000 0.0000 0.5000
```

=====

Record 10
Simulated powder diffractogram of Dy8Ni2Ru for a wavelength of 1.5418 Å, from a GGA-PBE-relaxed structure.
Intensities are scaled so that the largest is 100.

Principal peaks in the range 2θ = 10–90°, by angle:
| 2θ/deg | I/Imax |
| --- | --- |
| 24.0 | 25 |
| 27.6 | 30 |
| 31.1 | 65 |
| 31.7 | 91 |
| 32.5 | 100 |
| 32.6 | 98 |
| 34.4 | 85 |
| 35.6 | 30 |
| 36.5 | 28 |
| 36.7 | 60 |
| 39.2 | 67 |
| 55.2 | 30 |

Structure:
```
data_Dy8Ni2Ru
_chemical_formula_sum 'Dy16 Ni4 Ru2'
_cell_length_a 8.0696
_cell_length_b 12.7434
_cell_length_c 5.7936
_cell_angle_alpha 90.00
_cell_angle_beta 108.81
_cell_angle_gamma 90.00
_symmetry_space_group_name_H-M 'C 1 m 1'
_symmetry_Int_Tables_number 8
loop_
_symmetry_equiv_pos_as_xyz
'x,y,z'
'x,-y,z'
'x+1/2,y+1/2,z'
'x+1/2,-y+1/2,z'
loop_
_atom_site_label
_atom_site_type_symbol
_atom_site_fract_x
_atom_site_fract_y
_atom_site_fract_z
Dy1 Dy 0.0000 0.0000 0.0000
Dy2 Dy 0.0675 0.3741 0.7605
Dy3 Dy 0.1474 0.1269 0.5708
Dy4 Dy 0.2208 0.5000 0.3492
Dy5 Dy 0.3573 0.2129 0.1706
Ni1 Ni 0.3601 0.3009 0.6744
Ru1 Ru 0.3629 0.0000 0.2611
```

=====

Record 11
Simulated powder diffractogram of Dy4NiRu for a wavelength of 1.5418 Å, from a GGA-PBE-relaxed structure.
Intensities are scaled so that the largest is 100.

Principal peaks in the range 2θ = 10–90°, by angle:
| 2θ/deg | I/Imax |
| --- | --- |
| 26.3 | 26 |
| 28.2 | 36 |
| 30.4 | 100 |
| 34.0 | 31 |
| 36.5 | 75 |
| 37.6 | 32 |
| 39.0 | 100 |
| 42.2 | 40 |
| 46.8 | 24 |
| 56.5 | 31 |
| 60.5 | 31 |
| 65.5 | 34 |

Structure:
```
data_Dy4NiRu
_chemical_formula_sum 'Dy16 Ni4 Ru4'
_cell_length_a 6.7690
_cell_length_b 6.7690
_cell_length_c 12.6577
_cell_angle_alpha 90.00
_cell_angle_beta 90.00
_cell_angle_gamma 90.00
_symmetry_space_group_name_H-M 'I 4/m c m'
_symmetry_Int_Tables_number 140
_symmetry_space_group_name_Hall '-I 4 2c'
loop_
_atom_site_label
_atom_site_type_symbol
_atom_site_fract_x
_atom_site_fract_y
_atom_site_fract_z
Dy1 Dy 0.1829 0.3171 0.1292
Ni1 Ni 0.0000 0.0000 0.0000
Ru1 Ru 0.0000 0.0000 0.2500
```

=====

Record 12
Simulated powder diffractogram of Dy7Ni2Ru2 for a wavelength of 1.5418 Å, from a GGA-PBE-relaxed structure.
Intensities are scaled so that the largest is 100.

Principal peaks in the range 2θ = 10–90°, by angle:
| 2θ/deg | I/Imax |
| --- | --- |
| 27.8 | 26 |
| 29.7 | 100 |
| 30.6 | 26 |
| 33.3 | 51 |
| 35.8 | 17 |
| 38.1 | 42 |
| 39.7 | 73 |
| 49.7 | 15 |
| 50.5 | 15 |
| 52.6 | 15 |
| 57.3 | 20 |
| 63.7 | 23 |

Structure:
```
data_Dy7Ni2Ru2
_chemical_formula_sum 'Dy14 Ni4 Ru4'
_cell_length_a 7.2275
_cell_length_b 10.7668
_cell_length_c 6.9564
_cell_angle_alpha 90.00
_cell_angle_beta 90.00
_cell_angle_gamma 90.00
_symmetry_space_group_name_H-M 'C m m m'
_symmetry_Int_Tables_number 65
_symmetry_space_group_name_Hall '-C 2 2'
loop_
_atom_site_label
_atom_site_type_symbol
_atom_site_fract_x
_atom_site_fract_y
_atom_site_fract_z
Dy1 Dy 0.0000 0.0000 0.0000
Dy2 Dy 0.0000 0.5000 0.2624
Dy3 Dy 0.2500 0.2500 0.2761
Ni1 Ni 0.1680 0.0000 0.5000
Ru1 Ru 0.0000 0.3024 0.0000
```